Entry 1:
Starting from DFT lattice parameters and positions (GGA-PBE), the powder X-ray diffraction pattern of Ac4Sn8Ir was calculated for CuKα.
Intensities are scaled so that the largest is 100.

Structural model:
Cell lengths 4.6249, 4.7328, 18.3412 Å; angles 90.00, 90.00, 90.00 degrees
Atoms (fractional coordinates):
Ac1 0.0000 0.0000 0.0000
Ac2 0.0000 0.5000 0.4947
Ac3 0.5000 0.0000 0.2060
Ac4 0.5000 0.5000 0.7095
Sn1 0.0000 0.0000 0.3428
Sn2 0.0000 0.0000 0.6613
Sn3 0.0000 0.5000 0.1561
Sn4 0.0000 0.5000 0.8578
Sn5 0.5000 0.0000 0.5596
Sn6 0.5000 0.0000 0.8514
Sn7 0.5000 0.5000 0.0492
Sn8 0.5000 0.5000 0.3424
Ir1 0.5000 0.0000 0.4160

Top 12 peaks for 2θ from 5° to 70°, by intensity:
2θ/deg  Rel. int.  hkl
30.73  100  1 1 3
38.03  22  0 2 0
38.95  21  2 0 0
30.84  20  0 1 5
35.19  19  1 0 6
52.77  18  1 2 6
64.22  18  1 3 3
48.65  16  0 1 9
55.57  15  2 2 0
64.00  15  2 1 9
29.21  13  0 0 6
65.48  12  3 1 3

***

Entry 2:
Starting from DFT lattice parameters and positions (GGA-PBE), the powder X-ray diffraction pattern of Ac3Sn2Ir was calculated for CuKα.
Intensities are scaled so that the largest is 100.

Structural model:
Cell lengths 13.3332, 4.6647, 12.8019 Å; angles 90.00, 90.00, 90.00 degrees
Atoms (fractional coordinates):
Ac1 0.0539 0.2500 0.1283
Ac2 0.1155 0.7500 0.5452
Ac3 0.2352 0.2500 0.7927
Ac4 0.2648 0.7500 0.2927
Ac5 0.3845 0.2500 0.0452
Ac6 0.4461 0.7500 0.6283
Ac7 0.5539 0.2500 0.3717
Ac8 0.6155 0.7500 0.9548
Ac9 0.7352 0.2500 0.7073
Ac10 0.7648 0.7500 0.2073
Ac11 0.8845 0.2500 0.4548
Ac12 0.9461 0.7500 0.8717
Sn1 0.0105 0.7500 0.3087
Sn2 0.1956 0.7500 0.9946
Sn3 0.3044 0.2500 0.4946
Sn4 0.4895 0.2500 0.8087
Sn5 0.5105 0.7500 0.1913
Sn6 0.6956 0.7500 0.5054
Sn7 0.8044 0.2500 0.0054
Sn8 0.9895 0.2500 0.6913
Ir1 0.1286 0.2500 0.3672
Ir2 0.3714 0.7500 0.8672
Ir3 0.6286 0.2500 0.1328
Ir4 0.8714 0.7500 0.6328

Top 12 peaks for 2θ from 5° to 70°, by intensity:
2θ/deg  Rel. int.  hkl
28.35  100  0 1 3
31.11  70  3 1 2
33.78  69  4 1 1
38.60  64  0 2 0
24.34  56  3 0 2
36.62  56  2 1 4
28.65  53  1 0 4
27.17  51  2 1 2
44.52  41  5 1 3
30.23  33  4 0 2
37.63  30  2 0 5
9.58  28  1 0 1

***

Entry 3:
Starting from DFT lattice parameters and positions (GGA-PBE), the powder X-ray diffraction pattern of Ac2TlSn4Ir3 was calculated for CuKα.
Intensities are scaled so that the largest is 100.

Structural model:
Cell lengths 4.6997, 4.6997, 11.1060 Å; angles 90.00, 90.00, 90.00 degrees
Atoms (fractional coordinates):
Ac1 0.0000 0.5000 0.2418
Ac2 0.5000 0.0000 0.7582
Tl1 0.0000 0.0000 0.5000
Sn1 0.0000 0.0000 0.0000
Sn2 0.0000 0.5000 0.6458
Sn3 0.5000 0.0000 0.3542
Sn4 0.5000 0.5000 0.0000
Ir1 0.0000 0.5000 0.8801
Ir2 0.5000 0.0000 0.1199
Ir3 0.5000 0.5000 0.5000

Top 12 peaks for 2θ from 5° to 70°, by intensity:
2θ/deg  Rel. int.  hkl
31.37  100  1 1 2
38.30  69  2 0 0
30.74  58  1 0 3
49.89  31  2 1 3
64.96  26  3 1 2
55.29  24  2 2 0
45.15  24  1 0 5
42.42  22  1 1 4
60.66  20  2 1 5
56.94  14  1 1 6
26.83  11  1 1 0
28.03  9  1 1 1